Theoretical powder XRD pattern of HoP2Pt8 for Cu Kα X-rays, from a structure optimized by DFT (GGA-PBE).
No peak broadening, texture or thermal motion is included.

Cell and atoms:
```
HoP2Pt8
1.0
-2.7295 2.7295 7.2564
2.7295 -2.7295 7.2564
2.7295 2.7295 -7.2564
Ho P Pt
1 2 8
direct
0.0000 0.0000 0.0000 Ho
0.2500 0.7500 0.5000 P
0.7500 0.2500 0.5000 P
0.1058 0.1058 0.5069 Pt
0.1058 0.5989 0.0000 Pt
0.4011 0.4011 0.5069 Pt
0.4011 0.8942 0.0000 Pt
0.5989 0.1058 0.0000 Pt
0.5989 0.5989 0.4931 Pt
0.8942 0.4011 0.0000 Pt
0.8942 0.8942 0.4931 Pt
```

Peak list (10 most intense, 5° ≤ 2θ ≤ 70°, most intense first)
d 2.181, 41.4 deg, I 100.0; d 2.730, 32.8 deg, I 68.9; d 3.627, 24.5 deg, I 53.7; d 1.930, 47.1 deg, I 45.9; d 1.810, 50.4 deg, I 27.2; d 1.509, 61.5 deg, I 24.1; d 7.256, 12.2 deg, I 23.4; d 1.704, 53.8 deg, I 23.3; d 2.419, 37.2 deg, I 22.9; d 2.555, 35.1 deg, I 19.1

***

Theoretical powder XRD pattern of Sm2TlPd4 for Cu Kα X-rays, from a structure optimized by DFT (GGA-PBE).
No peak broadening, texture or thermal motion is included.

Cell and atoms:
```
Sm2TlPd4
1.0
-2.5152 2.5152 7.2206
2.5152 -2.5152 7.2206
2.5152 2.5152 -7.2206
Sm Tl Pd
2 1 4
direct
0.1294 0.1294 0.0000 Sm
0.8706 0.8706 0.0000 Sm
0.5000 0.5000 0.0000 Tl
0.0000 0.5000 0.5000 Pd
0.3116 0.3116 0.0000 Pd
0.5000 0.0000 0.5000 Pd
0.6884 0.6884 0.0000 Pd
```

Peak list (10 most intense, 5° ≤ 2θ ≤ 70°, most intense first)
d 2.515, 35.7 deg, I 100.0; d 2.505, 35.9 deg, I 77.2; d 3.557, 25.0 deg, I 71.5; d 1.775, 51.5 deg, I 55.0; d 7.221, 12.3 deg, I 43.9; d 1.779, 51.4 deg, I 35.3; d 1.739, 52.6 deg, I 28.4; d 3.478, 25.6 deg, I 27.8; d 2.534, 35.4 deg, I 22.6; d 2.407, 37.4 deg, I 19.1

***

Theoretical powder XRD pattern of Tl4Pb5 for Cu Kα X-rays, from a structure optimized by DFT (GGA-PBE).
No peak broadening, texture or thermal motion is included.

Cell and atoms:
```
Tl4Pb5
1.0
-5.3052 5.3052 2.5010
5.3052 -5.3052 2.5010
5.3052 5.3052 -2.5010
Tl Pb
4 5
direct
0.0000 0.3317 0.3317 Tl
0.0000 0.6683 0.6683 Tl
0.3317 0.0000 0.3317 Tl
0.6683 0.0000 0.6683 Tl
0.0000 0.0000 0.0000 Pb
0.3343 0.3343 0.6687 Pb
0.3343 0.6657 0.0000 Pb
0.6657 0.3343 0.0000 Pb
0.6657 0.6657 0.3313 Pb
```

Peak list (5 most intense, 5° ≤ 2θ ≤ 70°, most intense first)
d 2.888, 31.0 deg, I 100.0; d 2.501, 35.9 deg, I 51.0; d 1.508, 61.5 deg, I 44.1; d 1.768, 51.7 deg, I 36.8; d 1.444, 64.5 deg, I 12.8

***

Theoretical powder XRD pattern of AlBPd5 for Cu Kα X-rays, from a structure optimized by DFT (GGA-PBE).
No peak broadening, texture or thermal motion is included.

Cell and atoms:
```
AlBPd5
1.0
-3.5214 3.8781 4.1557
3.5214 -3.8781 4.1557
3.5214 3.8781 -4.1557
Al B Pd
2 2 10
direct
0.3505 0.1005 0.2500 Al
0.6495 0.8995 0.7500 Al
0.0000 0.5000 0.5000 B
0.5000 0.5000 0.0000 B
0.0000 0.2059 0.2059 Pd
0.0000 0.7941 0.7941 Pd
0.1596 0.7362 0.4234 Pd
0.1873 0.2638 0.9234 Pd
0.3439 0.5939 0.7500 Pd
0.5000 0.2059 0.7059 Pd
0.5000 0.7941 0.2941 Pd
0.6561 0.4061 0.2500 Pd
0.8127 0.7362 0.0766 Pd
0.8404 0.2638 0.5766 Pd
```

Peak list (10 most intense, 5° ≤ 2θ ≤ 70°, most intense first)
d 2.208, 40.9 deg, I 100.0; d 2.687, 33.4 deg, I 84.1; d 2.608, 34.4 deg, I 58.7; d 2.021, 44.8 deg, I 53.1; d 2.469, 36.4 deg, I 48.3; d 2.096, 43.2 deg, I 45.6; d 1.832, 49.8 deg, I 44.4; d 3.878, 22.9 deg, I 44.0; d 2.259, 39.9 deg, I 28.7; d 3.145, 28.4 deg, I 25.9

***

Theoretical powder XRD pattern of Er3GaCo3 for Cu Kα X-rays, from a structure optimized by DFT (GGA-PBE).
No peak broadening, texture or thermal motion is included.

Cell and atoms:
```
Er3GaCo3
1.0
2.0156 -4.9635 0.0000
2.0156 4.9635 0.0000
0.0000 0.0000 12.7786
Er Ga Co
6 2 6
direct
0.0072 0.9928 0.7500 Er
0.2941 0.7059 0.6044 Er
0.2941 0.7059 0.8956 Er
0.7059 0.2941 0.1044 Er
0.7059 0.2941 0.3956 Er
0.9928 0.0072 0.2500 Er
0.0000 0.0000 0.0000 Ga
0.0000 0.0000 0.5000 Ga
0.2913 0.7087 0.2500 Co
0.4156 0.5844 0.0948 Co
0.4156 0.5844 0.4052 Co
0.5844 0.4156 0.5948 Co
0.5844 0.4156 0.9052 Co
0.7087 0.2913 0.7500 Co
```

Peak list (10 most intense, 5° ≤ 2θ ≤ 70°, most intense first)
d 2.558, 35.1 deg, I 100.0; d 2.428, 37.0 deg, I 89.1; d 2.808, 31.9 deg, I 74.9; d 2.193, 41.2 deg, I 71.1; d 2.686, 33.4 deg, I 60.6; d 2.016, 45.0 deg, I 50.9; d 1.469, 63.3 deg, I 37.5; d 2.144, 42.1 deg, I 34.4; d 3.226, 27.7 deg, I 32.1; d 1.612, 57.1 deg, I 26.8

***

Theoretical powder XRD pattern of PrNi6Ge2 for Cu Kα X-rays, from a structure optimized by DFT (GGA-PBE).
No peak broadening, texture or thermal motion is included.

Cell and atoms:
```
PrNi6Ge2
1.0
4.1071 0.0000 0.0000
0.0000 4.1071 0.0000
0.0000 0.0000 7.6978
Pr Ni Ge
1 6 2
direct
0.0000 0.0000 0.0000 Pr
0.0000 0.0000 0.5000 Ni
0.0000 0.5000 0.3238 Ni
0.0000 0.5000 0.6762 Ni
0.5000 0.0000 0.3238 Ni
0.5000 0.0000 0.6762 Ni
0.5000 0.5000 0.5000 Ni
0.5000 0.5000 0.1718 Ge
0.5000 0.5000 0.8282 Ge
```

Peak list (10 most intense, 5° ≤ 2θ ≤ 70°, most intense first)
d 2.054, 44.1 deg, I 100.0; d 2.318, 38.8 deg, I 73.8; d 1.923, 47.3 deg, I 55.1; d 2.808, 31.9 deg, I 54.1; d 2.176, 41.5 deg, I 43.9; d 2.717, 33.0 deg, I 38.5; d 1.452, 64.1 deg, I 31.0; d 1.494, 62.2 deg, I 26.2; d 1.658, 55.4 deg, I 22.2; d 1.604, 57.4 deg, I 18.1

***

Theoretical powder XRD pattern of SmErCu4 for Cu Kα X-rays, from a structure optimized by DFT (GGA-PBE).
No peak broadening, texture or thermal motion is included.

Cell and atoms:
```
SmErCu4
1.0
-2.1503 3.4417 3.6797
2.1503 -3.4417 3.6797
2.1503 3.4417 -3.6797
Sm Er Cu
1 1 4
direct
0.0000 0.0000 0.0000 Sm
0.4140 0.9140 0.5000 Er
0.4227 0.6185 0.8042 Cu
0.5891 0.2892 0.2999 Cu
0.8143 0.6185 0.1958 Cu
0.9893 0.2892 0.7001 Cu
```

Peak list (10 most intense, 5° ≤ 2θ ≤ 70°, most intense first)
d 2.524, 35.6 deg, I 100.0; d 2.131, 42.4 deg, I 42.9; d 2.514, 35.7 deg, I 40.2; d 2.590, 34.6 deg, I 36.0; d 2.150, 42.0 deg, I 31.7; d 1.634, 56.3 deg, I 21.3; d 3.713, 24.0 deg, I 20.5; d 1.362, 69.0 deg, I 17.6; d 2.190, 41.2 deg, I 15.2; d 2.311, 39.0 deg, I 11.3

***

Theoretical powder XRD pattern of Tl14Ge2Te9 for Cu Kα X-rays, from a structure optimized by DFT (GGA-PBE).
No peak broadening, texture or thermal motion is included.

Cell and atoms:
```
Tl14Ge2Te9
1.0
9.1397 0.0000 0.0000
-4.5698 7.9152 0.0000
0.0000 0.0000 14.2125
Tl Ge Te
14 2 9
direct
0.0000 0.0000 0.2485 Tl
0.0000 0.0000 0.7515 Tl
0.0203 0.6701 0.8967 Tl
0.1159 0.4255 0.5880 Tl
0.3096 0.8841 0.5880 Tl
0.3299 0.3502 0.8967 Tl
0.3502 0.0203 0.1033 Tl
0.4255 0.3096 0.4120 Tl
0.5745 0.6904 0.5880 Tl
0.6498 0.9797 0.8967 Tl
0.6701 0.6498 0.1033 Tl
0.6904 0.1159 0.4120 Tl
0.8841 0.5745 0.4120 Tl
0.9797 0.3299 0.1033 Tl
0.3333 0.6667 0.2694 Ge
0.6667 0.3333 0.7306 Ge
0.0000 0.0000 0.0000 Te
0.1066 0.3620 0.3579 Te
0.2554 0.8934 0.3579 Te
0.3333 0.6667 0.0246 Te
0.3620 0.2554 0.6421 Te
0.6380 0.7446 0.3579 Te
0.6667 0.3333 0.9754 Te
0.7446 0.1066 0.6421 Te
0.8934 0.6380 0.6421 Te
```

Peak list (10 most intense, 5° ≤ 2θ ≤ 70°, most intense first)
d 2.805, 31.9 deg, I 100.0; d 3.844, 23.1 deg, I 72.4; d 2.928, 30.5 deg, I 65.8; d 2.639, 34.0 deg, I 52.5; d 2.059, 44.0 deg, I 44.1; d 2.992, 29.9 deg, I 41.1; d 4.350, 20.4 deg, I 28.6; d 2.594, 34.6 deg, I 21.9; d 5.288, 16.8 deg, I 20.2; d 3.242, 27.5 deg, I 18.3

***

Theoretical powder XRD pattern of La12SmEr5 for Cu Kα X-rays, from a structure optimized by DFT (GGA-PBE).
No peak broadening, texture or thermal motion is included.

Cell and atoms:
```
La12SmEr5
1.0
3.1818 -5.5130 0.0000
3.1818 5.5130 0.0000
-2.0951 0.0000 17.9353
La Sm Er
12 1 5
direct
0.0547 0.3902 0.1648 La
0.1139 0.1139 0.3382 La
0.2195 0.5531 0.6620 La
0.2806 0.2806 0.8353 La
0.3902 0.0547 0.1648 La
0.4469 0.7805 0.3380 La
0.5531 0.2195 0.6620 La
0.6098 0.9453 0.8352 La
0.7194 0.7194 0.1647 La
0.7805 0.4469 0.3380 La
0.8861 0.8861 0.6618 La
0.9453 0.6098 0.8352 La
0.0000 0.0000 0.0000 Sm
0.1666 0.8334 0.5000 Er
0.3333 0.6667 0.0000 Er
0.5000 0.5000 0.5000 Er
0.6667 0.3333 0.0000 Er
0.8334 0.1666 0.5000 Er
```

Peak list (10 most intense, 5° ≤ 2θ ≤ 70°, most intense first)
d 2.877, 31.1 deg, I 100.0; d 2.739, 32.7 deg, I 84.0; d 2.989, 29.9 deg, I 80.7; d 3.052, 29.3 deg, I 75.3; d 1.565, 59.0 deg, I 70.4; d 1.837, 49.6 deg, I 60.0; d 2.523, 35.6 deg, I 45.1; d 2.940, 30.4 deg, I 31.7; d 3.097, 28.8 deg, I 25.9; d 1.735, 52.8 deg, I 23.1

***

Theoretical powder XRD pattern of Er8Pd2Ru for Cu Kα X-rays, from a structure optimized by DFT (GGA-PBE).
No peak broadening, texture or thermal motion is included.

Cell and atoms:
```
Er8Pd2Ru
1.0
4.0694 -6.5288 0.0000
4.0694 6.5288 0.0000
-2.0623 0.0000 5.4329
Er Pd Ru
8 2 1
direct
0.0000 0.0000 0.0000 Er
0.0265 0.2709 0.5863 Er
0.1550 0.5694 0.1794 Er
0.2709 0.0265 0.5863 Er
0.4478 0.6936 0.7894 Er
0.5694 0.1550 0.1794 Er
0.6936 0.4478 0.7894 Er
0.7155 0.7155 0.3527 Er
0.0518 0.6576 0.6726 Pd
0.6576 0.0518 0.6726 Pd
0.3572 0.3572 0.0496 Ru
```

Peak list (10 most intense, 5° ≤ 2θ ≤ 70°, most intense first)
d 2.353, 38.2 deg, I 100.0; d 2.638, 34.0 deg, I 98.8; d 2.874, 31.1 deg, I 96.5; d 2.798, 32.0 deg, I 91.4; d 2.836, 31.5 deg, I 86.5; d 2.506, 35.8 deg, I 82.2; d 2.478, 36.2 deg, I 77.7; d 2.699, 33.2 deg, I 67.8; d 3.290, 27.1 deg, I 61.4; d 2.274, 39.6 deg, I 34.4

***

Theoretical powder XRD pattern of Ho2GaCoC for Cu Kα X-rays, from a structure optimized by DFT (GGA-PBE).
No peak broadening, texture or thermal motion is included.

Cell and atoms:
```
Ho2GaCoC
1.0
6.1756 0.0000 0.0000
0.0000 3.8969 0.0000
-2.7984 0.0000 7.7621
Ho Ga Co C
4 2 2 2
direct
0.2188 0.2500 0.4683 Ho
0.2266 0.2500 0.8800 Ho
0.7734 0.7500 0.1200 Ho
0.7812 0.7500 0.5317 Ho
0.2906 0.7500 0.1976 Ga
0.7094 0.2500 0.8024 Ga
0.4960 0.7500 0.7581 Co
0.5040 0.2500 0.2419 Co
0.1915 0.7500 0.6696 C
0.8085 0.2500 0.3304 C
```

Peak list (10 most intense, 5° ≤ 2θ ≤ 70°, most intense first)
d 2.752, 32.5 deg, I 100.0; d 3.236, 27.6 deg, I 61.3; d 2.905, 30.8 deg, I 41.3; d 1.948, 46.6 deg, I 29.7; d 2.816, 31.8 deg, I 28.9; d 2.587, 34.7 deg, I 26.9; d 2.291, 39.3 deg, I 23.2; d 2.831, 31.6 deg, I 22.6; d 2.238, 40.3 deg, I 22.0; d 2.419, 37.2 deg, I 20.9

***

Theoretical powder XRD pattern of Li7Mg2Hg2 for Cu Kα X-rays, from a structure optimized by DFT (GGA-PBE).
No peak broadening, texture or thermal motion is included.

Cell and atoms:
```
Li7Mg2Hg2
1.0
3.6747 -4.3449 0.0000
3.6747 4.3449 0.0000
-1.8267 0.0000 6.8838
Li Mg Hg
7 2 2
direct
0.0000 0.0000 0.0000 Li
0.1089 0.4898 0.8276 Li
0.1600 0.1600 0.4225 Li
0.4898 0.1089 0.8276 Li
0.5102 0.8911 0.1724 Li
0.8400 0.8400 0.5775 Li
0.8911 0.5102 0.1724 Li
0.3048 0.6952 0.5000 Mg
0.6952 0.3048 0.5000 Mg
0.3872 0.3872 0.1612 Hg
0.6128 0.6128 0.8388 Hg
```

Peak list (10 most intense, 5° ≤ 2θ ≤ 70°, most intense first)
d 5.500, 16.1 deg, I 100.0; d 3.933, 22.6 deg, I 62.1; d 2.394, 37.6 deg, I 49.7; d 4.345, 20.4 deg, I 38.5; d 3.219, 27.7 deg, I 34.8; d 2.421, 37.1 deg, I 26.7; d 2.349, 38.3 deg, I 24.2; d 3.674, 24.2 deg, I 23.4; d 3.549, 25.1 deg, I 23.1; d 6.884, 12.9 deg, I 21.8